(1)
# Sr2TbCrN4
Calculated X-ray powder pattern, CuKα. Input: a cell relaxed with PBE.

Principal peaks in the range 10 to 90 degrees two-theta, low angle first:
d (Å)	I/Imax
3.243	59.7
2.953	79.0
2.795	100.0
2.757	52.3
2.101	29.3
1.966	33.2
1.600	51.2
1.555	24.1

Crystal structure
```
Sr2TbCrN4
1.0
7.320 0.000 0.000
0.000 6.992 0.000
0.000 0.000 5.514
Sr Tb Cr N
4 2 2 8
Direct
0.246 0.166 0.000
0.254 0.834 0.500
0.746 0.834 0.500
0.754 0.166 0.000
0.000 0.368 0.516
0.500 0.632 0.016
0.000 0.665 0.038
0.500 0.335 0.538
0.000 0.421 0.931
0.000 0.654 0.359
0.214 0.791 0.970
0.286 0.209 0.470
0.500 0.346 0.859
0.500 0.579 0.431
0.714 0.209 0.470
0.786 0.791 0.970
```

***

(2)
# TaCrN
Calculated X-ray powder pattern, CuKα. Input: a cell relaxed with PBE.

Principal peaks in the range 10 to 90 degrees two-theta, low angle first:
d (Å)	I/Imax
3.763	56.3
3.108	46.5
2.396	81.2
2.338	94.9
2.326	58.8
2.153	100.0
1.869	46.2
1.408	32.7

Crystal structure
```
TaCrN
1.0
6.217 0.000 0.000
0.000 7.525 0.000
0.000 0.000 2.984
Ta Cr N
4 4 4
Direct
0.000 0.207 0.000
0.000 0.793 0.000
0.500 0.293 0.000
0.500 0.707 0.000
0.178 0.500 0.500
0.322 0.000 0.500
0.678 0.000 0.500
0.822 0.500 0.500
0.250 0.250 0.500
0.250 0.750 0.500
0.750 0.250 0.500
0.750 0.750 0.500
```

***

(3)
# TaCr2N
Calculated X-ray powder pattern, CuKα. Input: a cell relaxed with PBE.

Principal peaks in the range 10 to 90 degrees two-theta, low angle first:
d (Å)	I/Imax
4.422	48.0
2.784	23.5
2.672	100.0
2.356	86.3
2.224	32.6
1.968	18.5
1.585	34.6
1.523	24.6

Crystal structure
```
TaCr2N
1.0
5.568 0.000 0.000
0.000 5.568 0.000
0.000 0.000 7.278
Ta Cr N
4 8 4
Direct
0.000 0.000 0.000
0.000 0.500 0.250
0.500 0.000 0.750
0.500 0.500 0.500
0.129 0.750 0.625
0.250 0.129 0.375
0.250 0.371 0.875
0.371 0.750 0.125
0.629 0.250 0.125
0.750 0.629 0.875
0.750 0.871 0.375
0.871 0.250 0.625
0.000 0.000 0.500
0.000 0.500 0.750
0.500 0.000 0.250
0.500 0.500 0.000
```

***

(4)
# Tb2YCrN4
Calculated X-ray powder pattern, CuKα. Input: a cell relaxed with PBE.

Principal peaks in the range 10 to 90 degrees two-theta, low angle first:
d (Å)	I/Imax
5.862	30.6
3.225	67.9
2.931	36.3
2.856	60.3
2.837	100.0
2.321	92.0
2.169	28.2
1.900	33.5

Crystal structure
```
Tb2YCrN4
1.0
1.690 -5.711 0.000
1.690 5.711 0.000
0.000 0.000 11.723
Tb Y Cr N
4 2 2 8
Direct
0.131 0.869 0.543
0.131 0.869 0.957
0.869 0.131 0.043
0.869 0.131 0.457
0.390 0.610 0.750
0.610 0.390 0.250
0.342 0.658 0.250
0.658 0.342 0.750
0.068 0.932 0.750
0.232 0.768 0.132
0.232 0.768 0.368
0.500 0.500 0.000
0.500 0.500 0.500
0.768 0.232 0.632
0.768 0.232 0.868
0.932 0.068 0.250
```

***

(5)
# CrTeN
Calculated X-ray powder pattern, CuKα. Input: a cell relaxed with PBE.

Principal peaks in the range 10 to 90 degrees two-theta, low angle first:
d (Å)	I/Imax
5.723	54.0
3.180	83.7
2.918	40.1
2.877	100.0
2.421	51.2
2.367	90.9
2.127	56.2
1.828	69.0

Crystal structure
```
CrTeN
1.0
3.018 0.000 0.000
0.000 5.754 0.000
0.000 0.000 11.446
Cr Te N
4 4 4
Direct
0.000 0.000 0.111
0.000 0.000 0.889
0.500 0.500 0.389
0.500 0.500 0.611
0.000 0.500 0.182
0.000 0.500 0.818
0.500 0.000 0.318
0.500 0.000 0.682
0.000 0.377 0.500
0.000 0.623 0.500
0.500 0.123 0.000
0.500 0.877 0.000
```

***

(6)
# Th2TiCr2N6
Calculated X-ray powder pattern, CuKα. Input: a cell relaxed with PBE.

Principal peaks in the range 10 to 90 degrees two-theta, low angle first:
d (Å)	I/Imax
5.705	24.4
4.105	75.2
2.763	95.8
2.701	100.0
2.257	30.3
2.167	25.3
1.931	38.2
1.571	36.3

Crystal structure
```
Th2TiCr2N6
1.0
2.701 1.560 5.705
-2.701 1.560 5.705
0.000 -3.119 5.705
Th Ti Cr N
2 1 2 6
Direct
0.214 0.214 0.214
0.786 0.786 0.786
0.000 0.000 0.000
0.393 0.393 0.393
0.607 0.607 0.607
0.225 0.747 0.747
0.253 0.253 0.775
0.253 0.775 0.253
0.747 0.225 0.747
0.747 0.747 0.225
0.775 0.253 0.253
```

***

(7)
# CrW2N3
Calculated X-ray powder pattern, CuKα. Input: a cell relaxed with PBE.

Principal peaks in the range 10 to 90 degrees two-theta, low angle first:
d (Å)	I/Imax
3.518	48.3
2.855	32.9
2.652	100.0
2.257	74.1
2.234	94.0
1.849	29.2
1.759	40.3
1.430	35.2

Crystal structure
```
CrW2N3
1.0
2.803 0.000 0.000
0.000 3.698 0.000
0.000 0.000 11.418
Cr W N
2 4 6
Direct
0.000 0.000 0.000
0.500 0.500 0.500
0.000 0.000 0.355
0.000 0.000 0.645
0.500 0.500 0.145
0.500 0.500 0.855
0.000 0.000 0.175
0.000 0.000 0.825
0.000 0.500 0.000
0.500 0.000 0.500
0.500 0.500 0.325
0.500 0.500 0.675
```

***

(8)
# Zn3CrN3
Calculated X-ray powder pattern, CuKα. Input: a cell relaxed with PBE.

Principal peaks in the range 10 to 90 degrees two-theta, low angle first:
d (Å)	I/Imax
2.865	50.3
2.416	100.0
2.248	34.0
1.769	21.8
1.654	31.0
1.365	13.9
1.332	27.8
1.328	14.4

Crystal structure
```
Zn3CrN3
1.0
6.616 0.000 0.000
-3.308 5.730 0.000
0.000 0.000 4.496
Zn Cr N
6 2 6
Direct
0.180 0.361 0.250
0.180 0.820 0.250
0.361 0.180 0.750
0.639 0.820 0.250
0.820 0.180 0.750
0.820 0.639 0.750
0.333 0.667 0.750
0.667 0.333 0.250
0.178 0.357 0.750
0.178 0.822 0.750
0.357 0.178 0.250
0.643 0.822 0.750
0.822 0.178 0.250
0.822 0.643 0.250
```

***

(9)
# ZnCrN2
Calculated X-ray powder pattern, CuKα. Input: a cell relaxed with PBE.

Principal peaks in the range 10 to 90 degrees two-theta, low angle first:
d (Å)	I/Imax
2.777	23.7
2.765	46.5
2.611	56.3
2.452	49.1
2.444	100.0
1.601	29.3
1.474	45.1
1.365	24.7

Crystal structure
```
ZnCrN2
1.0
5.554 0.000 0.000
0.000 6.377 0.000
0.000 0.000 5.222
Zn Cr N
4 4 8
Direct
0.089 0.122 0.000
0.411 0.622 0.500
0.589 0.378 0.000
0.911 0.878 0.500
0.075 0.627 0.998
0.425 0.127 0.498
0.575 0.873 0.998
0.925 0.373 0.498
0.066 0.610 0.356
0.103 0.140 0.394
0.397 0.640 0.894
0.434 0.110 0.856
0.566 0.890 0.356
0.603 0.360 0.394
0.897 0.860 0.894
0.934 0.390 0.856
```

***

(10)
# ZrCr2N2
Calculated X-ray powder pattern, CuKα. Input: a cell relaxed with PBE.

Principal peaks in the range 10 to 90 degrees two-theta, low angle first:
d (Å)	I/Imax
3.107	43.4
2.528	34.2
2.345	46.9
2.100	100.0
1.719	15.0
1.633	27.0
1.371	18.8
1.361	23.9

Crystal structure
```
ZrCr2N2
1.0
3.265 0.000 0.000
0.000 3.265 0.000
0.000 0.000 10.112
Zr Cr N
2 4 4
Direct
0.000 0.000 0.000
0.500 0.500 0.500
0.000 0.500 0.250
0.000 0.500 0.750
0.500 0.000 0.250
0.500 0.000 0.750
0.000 0.000 0.368
0.000 0.000 0.632
0.500 0.500 0.132
0.500 0.500 0.868
```

***

(11)
# Na2Nb2CrSe6
Calculated X-ray powder pattern, CuKα. Input: a cell relaxed with PBE.

Principal peaks in the range 10 to 90 degrees two-theta, low angle first:
d (Å)	I/Imax
7.395	100.0
2.762	86.5
2.680	47.6
2.256	18.7
2.115	15.0
2.062	34.5
1.809	25.9
1.508	12.0

Crystal structure
```
Na2Nb2CrSe6
1.0
3.128 -5.470 0.000
3.128 5.470 0.000
-1.805 0.000 7.395
Na Nb Cr Se
2 2 1 6
Direct
0.182 0.818 0.000
0.818 0.182 0.000
0.365 0.635 0.500
0.635 0.365 0.500
0.000 0.000 0.500
0.049 0.385 0.697
0.241 0.241 0.266
0.385 0.049 0.697
0.615 0.951 0.303
0.759 0.759 0.734
0.951 0.615 0.303
```

***

Q: Number 6 is which compound?
A: Th2TiCr2N6